The following is a theoretical powder XRD pattern of RbPHO3F. It was derived from DFT lattice parameters and positions (GGA-PBE), using Cu Kα (weighted mean of Kα1 and Kα2).

Cell and atoms:
```
RbPHO3F
1.0
7.4594 0.0000 0.0000
0.0000 8.3707 0.0000
-2.2980 0.0000 14.6427
Rb P H O F
8 8 8 24 8
Cartesian
0.3513 0.0000 1.3095
-0.3778 6.1988 9.6758
0.4718 1.9016 12.3082
2.1242 4.0421 6.0079
3.0372 8.2274 8.6348
4.6896 6.0870 2.3345
5.5392 2.0135 4.9669
4.8101 4.1853 13.3332
-0.4458 1.8393 8.5750
0.8886 4.3578 2.2956
1.7985 0.1873 4.9485
1.0098 5.9358 13.2923
4.1516 1.7505 1.3504
3.3629 4.3726 9.6942
4.2728 0.1724 12.3471
5.6073 6.0246 6.0677
-1.5022 3.4435 9.8213
1.6597 2.6137 1.1057
1.0180 6.9130 6.1408
1.7785 7.6620 12.0788
3.3830 3.4767 2.5638
4.1435 2.7277 8.5019
3.5017 6.7990 13.5370
6.6637 7.6289 4.8214
0.1146 5.5541 1.8439
-0.6711 2.8610 9.7856
0.8007 3.1912 1.2250
0.3723 0.3265 4.4736
-0.0037 2.4871 7.3059
0.2174 0.6112 9.1123
0.2241 4.7385 12.8669
2.2985 4.4969 2.8330
1.8729 7.3909 6.0620
0.9230 7.0871 12.2036
2.7318 1.6034 0.8337
2.6348 1.3415 5.3817
2.5267 5.5269 9.2610
2.4297 5.7887 13.8090
4.2385 2.9018 2.4391
3.2886 3.2056 8.5807
2.8629 0.3116 11.8097
4.9373 0.5532 1.7758
4.9440 4.7965 5.5304
5.1651 6.6725 7.3368
4.7891 4.5119 10.1691
4.3608 7.3766 13.4177
5.8325 7.0463 4.8571
5.0469 1.3687 12.7988
0.0523 3.7229 3.5310
-0.2490 5.6384 6.3564
0.2004 6.5979 14.5256
2.5841 7.8579 3.7299
2.5773 3.6725 10.9128
4.9610 2.4126 0.1171
5.4105 1.4531 8.2863
5.1092 7.9083 11.1117
```

Most intense lines, 10° ≤ 2θ ≤ 90°, in order of falling intensity:
24.75°, intensity 100, (1 2 -1); 25.32°, intensity 43, (2 0 -2); 26.58°, intensity 39, (0 1 4); 25.71°, intensity 28, (1 1 3); 24.31°, intensity 22, (0 0 4); 28.76°, intensity 18, (2 0 2); 40.07°, intensity 15, (1 3 3); 34.66°, intensity 12, (1 0 5); 43.23°, intensity 11, (0 4 0); 44.28°, intensity 11, (3 2 -3)


The following is a theoretical powder XRD pattern of RbPH3O4F. It was derived from DFT lattice parameters and positions (GGA-PBE), using Cu Kα (weighted mean of Kα1 and Kα2).

Cell and atoms:
```
RbPH3O4F
1.0
9.1708 0.0000 0.0000
0.0000 4.6585 0.0000
0.0000 0.0000 12.1125
Rb P H O F
4 4 12 16 4
Cartesian
1.4181 0.6166 0.0000
3.1673 2.9459 6.0563
6.0035 1.7126 0.0000
7.7527 4.0419 6.0563
0.2040 1.9598 9.0064
4.3814 4.2890 2.9502
4.7894 0.3695 9.0064
8.9668 2.6987 2.9502
0.9251 1.1714 4.8912
0.9456 4.0213 8.5531
1.9554 3.1844 2.5357
2.6300 0.8551 8.5919
3.6398 1.6921 2.4968
3.6603 3.5006 10.9475
5.5105 1.1579 4.8912
5.5310 2.9664 8.5531
6.5408 3.8034 2.5357
7.2154 1.4741 8.5919
8.2252 0.6372 2.4968
8.2457 3.4871 10.9475
0.2292 2.1689 4.3004
0.8978 3.0867 8.1235
1.0313 3.1837 2.0769
1.1878 0.7835 9.1029
3.3976 3.1127 3.0466
3.5541 0.8545 8.1331
3.6876 0.7575 2.0673
4.3562 4.4981 10.3567
4.8146 0.1603 4.3004
5.4832 3.9010 8.1235
5.6167 3.8040 2.0769
5.7732 1.5458 9.1029
7.9830 3.8750 3.0466
8.1395 1.4748 8.1331
8.2730 1.5718 2.0673
8.9416 2.4896 10.3567
1.4321 0.4731 5.4673
3.1533 2.8024 11.5236
6.0175 1.8561 5.4673
7.7387 4.1854 11.5236
```

Most intense lines, 10° ≤ 2θ ≤ 90°, in order of falling intensity:
29.49°, intensity 100, (0 0 4); 26.01°, intensity 96, (1 1 2); 31.10°, intensity 65, (2 1 2); 24.35°, intensity 61, (2 0 2); 20.71°, intensity 55, (2 0 1); 40.62°, intensity 55, (2 1 4); 35.11°, intensity 51, (3 1 0); 20.43°, intensity 46, (0 1 1); 39.95°, intensity 42, (1 2 0); 29.27°, intensity 39, (0 1 3)


The following is a theoretical powder XRD pattern of RbPHO3F. It was derived from DFT lattice parameters and positions (GGA-PBE), using Cu Kα (weighted mean of Kα1 and Kα2).

Cell and atoms:
```
RbPHO3F
1.0
7.6311 0.0000 0.0000
0.0000 15.8646 0.0000
-5.5713 0.0000 7.4272
Rb P H O F
8 8 8 24 8
Cartesian
-1.3926 0.7527 2.0485
-4.1783 7.1796 5.7621
-1.7549 3.2444 5.5883
1.0307 4.6879 1.8747
1.0290 11.1767 5.5525
3.8147 12.6202 1.8389
6.2381 8.6850 1.6651
3.4524 15.1119 5.3786
-3.0323 11.1529 5.3601
-0.2467 12.6439 1.6465
2.4260 0.4996 1.7226
-0.3597 7.4327 5.4361
2.4195 8.4319 1.9910
-0.3662 15.3649 5.7046
2.3064 3.2206 5.7807
5.0921 4.7117 2.0671
-1.8068 9.5227 4.4961
0.9789 14.2742 0.7825
2.5809 9.7963 0.2465
-0.2048 14.0006 3.9601
2.2645 1.8640 3.4671
-0.5211 6.0683 7.1806
1.0809 1.5904 6.6447
3.8665 6.3419 2.9311
-1.6657 3.6727 2.7030
-4.4513 4.2596 6.4166
-3.6570 10.1114 6.2641
-0.8713 13.6854 2.5505
-2.0476 10.5129 4.2957
0.7381 13.2839 0.5821
-1.4463 8.0735 4.6085
1.3394 15.7234 0.8949
-1.3236 0.3385 4.9129
1.4620 7.5938 1.1993
1.7743 1.6691 2.5828
-1.0113 6.2631 6.2964
3.0711 9.6014 1.1308
0.2854 14.1954 4.8444
0.5977 8.2708 6.2279
3.3834 15.5261 2.5143
0.7204 0.1412 6.5323
3.5061 7.7911 2.8187
1.3217 2.5806 6.8451
4.1074 5.3516 3.1315
2.9311 2.1791 4.8767
5.7167 5.7531 1.1631
6.5111 11.6049 1.0106
3.7255 12.1919 4.7241
0.8143 11.8595 2.5907
-1.9714 11.9374 6.3043
3.3124 1.3206 0.6500
0.5268 6.6117 4.3636
1.5330 9.2529 3.0636
-1.2527 14.5440 6.7772
4.0312 3.9272 1.1229
1.2455 4.0051 4.8365
```

Most intense lines, 10° ≤ 2θ ≤ 90°, in order of falling intensity:
25.46°, intensity 100, (0 4 1); 23.96°, intensity 67, (0 0 2); 26.72°, intensity 56, (2 2 -2); 26.50°, intensity 33, (2 2 -1); 40.50°, intensity 22, (2 2 -4); 24.86°, intensity 21, (2 1 -2); 22.42°, intensity 19, (0 4 0); 31.40°, intensity 18, (2 2 0); 41.95°, intensity 18, (2 6 -1); 43.07°, intensity 15, (0 4 3)


The following is a theoretical powder XRD pattern of Sb2H8PtO4F12. It was derived from DFT lattice parameters and positions (GGA-PBE), using Cu Kα (weighted mean of Kα1 and Kα2).

Cell and atoms:
```
Sb2H8PtO4F12
1.0
5.0640 0.0000 0.0000
1.9328 7.6469 0.0000
0.9353 2.8930 8.0698
Sb H Pt O F
2 8 1 4 12
Cartesian
1.2294 1.7303 1.3402
6.7027 8.8096 6.7295
2.1507 3.4512 4.1181
2.7922 5.4701 1.6851
2.6152 3.7257 5.6121
4.0136 6.2268 6.4268
3.9185 4.3131 1.6430
5.3169 6.8142 2.4577
5.1399 5.0698 6.3847
5.7814 7.0888 3.9517
3.9661 5.2700 4.0349
2.3888 4.1784 4.7605
3.2386 4.7607 2.2066
4.6935 5.7792 5.8632
5.5433 6.3615 3.3093
1.4282 4.3265 7.6487
2.4083 7.0377 6.6754
3.2087 9.5113 5.8965
1.9922 2.0906 3.0833
3.9298 7.6055 1.3956
2.8133 2.4277 0.5055
5.1188 8.1122 7.5643
4.0023 2.9344 6.6742
5.9399 8.4493 4.9865
4.7234 1.0286 2.1732
5.5238 3.5022 1.3944
6.5039 6.2134 0.4211
```

Most intense lines, 10° ≤ 2θ ≤ 90°, in order of falling intensity:
19.09°, intensity 100, (0 1 -1); 21.30°, intensity 82, (0 1 2); 20.00°, intensity 81, (1 1 1); 21.42°, intensity 80, (1 0 -1); 24.11°, intensity 77, (1 -1 0); 23.42°, intensity 68, (0 2 1); 43.82°, intensity 58, (2 2 -1); 44.62°, intensity 53, (1 1 4); 27.27°, intensity 46, (1 2 0); 28.29°, intensity 37, (1 0 2)